Simulated powder XRD pattern of Na3CoPCO7 for Cu Kα, from a crystal structure in the Materials Project, relaxed with PBE+U.
Neutral-atom scattering factors, no anomalous dispersion.

Top 10 peaks for 5 to 70 degrees two-theta, sorted by position:
2theta, intensity
16.74, 58
25.99, 26
26.92, 72
33.43, 100
33.61, 31
33.84, 48
34.39, 64
36.99, 35
48.42, 40
55.50, 25

Crystal structure
Cell: 5.298 6.623 8.997 Å, 90.00 90.17 90.00°
Space group P2_1 (No. 4)
Inequivalent atoms, fractional coordinates:
1 Na 0.006 0.000 0.006 [2 per cell]
2 Na 0.439 0.733 0.168 [2 per cell]
3 Na 0.489 0.005 0.489 [2 per cell]
4 Co 0.031 0.263 0.293 [2 per cell]
5 P 0.018 0.252 0.652 [2 per cell]
6 C 0.500 0.251 0.155 [2 per cell]
7 O 0.067 0.565 0.252 [2 per cell]
8 O 0.080 0.939 0.259 [2 per cell]
9 O 0.119 0.742 0.501 [2 per cell]
10 O 0.259 0.746 0.880 [2 per cell]
11 O 0.306 0.253 0.634 [2 per cell]
12 O 0.333 0.257 0.049 [2 per cell]
13 O 0.430 0.252 0.292 [2 per cell]

=====

Simulated powder XRD pattern of CoH2O2 for Cu Kα, from a crystal structure in the Materials Project, relaxed with PBE+U.
Neutral-atom scattering factors, no anomalous dispersion.

Top 10 peaks for 5 to 70 degrees two-theta, sorted by position:
2theta, intensity
18.69, 100
32.07, 12
32.22, 22
37.21, 31
37.54, 37
37.62, 30
50.21, 11
50.67, 18
57.26, 17
60.96, 11

Crystal structure
Cell: 3.220 5.555 10.006 Å, 73.95 81.20 89.72°
Space group P1 (No. 1)
Inequivalent atoms, fractional coordinates:
1 Co 0.000 0.000 0.000 [1 per cell]
2 Co 0.249 0.249 0.500 [1 per cell]
3 Co 0.500 0.500 0.000 [1 per cell]
4 Co 0.750 0.750 0.500 [1 per cell]
5 H 0.108 0.777 0.788 [1 per cell]
6 H 0.140 0.475 0.712 [1 per cell]
7 H 0.351 0.027 0.288 [1 per cell]
8 H 0.381 0.723 0.212 [1 per cell]
9 H 0.607 0.274 0.788 [1 per cell]
10 H 0.646 0.970 0.712 [1 per cell]
11 H 0.842 0.528 0.287 [1 per cell]
12 H 0.884 0.226 0.212 [1 per cell]
13 O 0.058 0.723 0.890 [1 per cell]
14 O 0.193 0.526 0.609 [1 per cell]
15 O 0.306 0.974 0.390 [1 per cell]
16 O 0.442 0.776 0.110 [1 per cell]
17 O 0.556 0.223 0.890 [1 per cell]
18 O 0.701 0.025 0.610 [1 per cell]
19 O 0.797 0.474 0.390 [1 per cell]
20 O 0.941 0.277 0.109 [1 per cell]

=====

Simulated powder XRD pattern of Li5Fe2Cu5O12 for Cu Kα, from a crystal structure in the Materials Project, relaxed with PBE+U.
Neutral-atom scattering factors, no anomalous dispersion.

Top 10 peaks for 5 to 70 degrees two-theta, sorted by position:
2theta, intensity
9.11, 20
18.28, 43
20.91, 21
21.05, 22
21.57, 44
37.02, 73
38.21, 81
45.26, 100
60.68, 69
65.93, 28

Crystal structure
Cell: 5.503 8.498 9.713 Å, 90.00 92.11 90.00°
Space group C2 (No. 5)
Inequivalent atoms, fractional coordinates:
1 Li 0.000 0.000 0.000 [2 per cell]
2 Li 0.239 0.171 0.245 [4 per cell]
3 Li 0.248 0.502 0.244 [4 per cell]
4 Fe 0.000 0.331 0.000 [2 per cell]
5 Fe 0.000 0.836 0.500 [2 per cell]
6 Cu 0.000 0.164 0.500 [2 per cell]
7 Cu 0.000 0.507 0.500 [2 per cell]
8 Cu 0.000 0.670 0.000 [2 per cell]
9 Cu 0.239 0.840 0.249 [4 per cell]
10 O 0.095 0.999 0.366 [4 per cell]
11 O 0.100 0.669 0.372 [4 per cell]
12 O 0.110 0.501 0.880 [4 per cell]
13 O 0.114 0.185 0.864 [4 per cell]
14 O 0.151 0.337 0.401 [4 per cell]
15 O 0.166 0.827 0.898 [4 per cell]

=====

Simulated powder XRD pattern of Sr5Ca3Ti5Mn3O24 for Cu Kα, from a crystal structure in the Materials Project, relaxed with PBE+U.
Neutral-atom scattering factors, no anomalous dispersion.

Top 10 peaks for 5 to 70 degrees two-theta, sorted by position:
2theta, intensity
11.35, 5
32.50, 100
34.53, 3
40.09, 16
46.55, 30
46.79, 15
57.94, 25
58.09, 12
67.95, 8
68.14, 16

Crystal structure
Cell: 7.766 7.801 7.806 Å, 90.00 89.99 89.99°
Space group P1 (No. 1)
Inequivalent atoms, fractional coordinates:
1 Sr 0.000 0.000 0.000 [1 per cell]
2 Sr 0.000 0.000 0.497 [1 per cell]
3 Sr 0.000 0.503 0.000 [1 per cell]
4 Sr 0.510 0.000 0.000 [1 per cell]
5 Sr 0.510 0.000 0.497 [1 per cell]
6 Ca 0.512 0.504 0.002 [1 per cell]
7 Ca 0.513 0.504 0.495 [1 per cell]
8 Ca 0.997 0.505 0.495 [1 per cell]
9 Ti 0.256 0.254 0.249 [1 per cell]
10 Ti 0.256 0.254 0.747 [1 per cell]
11 Ti 0.256 0.749 0.249 [1 per cell]
12 Ti 0.256 0.749 0.748 [1 per cell]
13 Ti 0.754 0.256 0.747 [1 per cell]
14 Mn 0.754 0.254 0.249 [1 per cell]
15 Mn 0.754 0.751 0.748 [1 per cell]
16 Mn 0.755 0.750 0.249 [1 per cell]
17 O 0.001 0.256 0.251 [1 per cell]
18 O 0.002 0.748 0.251 [1 per cell]
19 O 0.002 0.748 0.746 [1 per cell]
20 O 0.004 0.255 0.747 [1 per cell]
21 O 0.256 0.001 0.249 [1 per cell]
22 O 0.256 0.001 0.747 [1 per cell]
23 O 0.256 0.256 0.498 [1 per cell]
24 O 0.256 0.502 0.250 [1 per cell]
25 O 0.256 0.502 0.747 [1 per cell]
26 O 0.256 0.747 0.498 [1 per cell]
27 O 0.257 0.255 0.999 [1 per cell]
28 O 0.257 0.748 0.999 [1 per cell]
29 O 0.506 0.256 0.747 [1 per cell]
30 O 0.508 0.257 0.249 [1 per cell]
31 O 0.508 0.746 0.249 [1 per cell]
32 O 0.508 0.746 0.747 [1 per cell]
33 O 0.750 0.501 0.253 [1 per cell]
34 O 0.750 0.746 0.998 [1 per cell]
35 O 0.752 0.256 0.001 [1 per cell]
36 O 0.752 0.504 0.746 [1 per cell]
37 O 0.754 0.257 0.496 [1 per cell]
38 O 0.754 0.999 0.747 [1 per cell]
39 O 0.755 0.002 0.249 [1 per cell]
40 O 0.755 0.743 0.499 [1 per cell]